[1]
This entry pairs a crystal structure of Ge2SeBr4 with its computed powder X-ray diffraction pattern. Radiation: Cu Ka. Structure: a DFT-relaxed cell (PBE, Alexandria).

Atomic structure:
Lattice parameters (Å, degrees): 5.7077 5.7077 15.9308 90.00 90.00 90.00
Space group I4/mmm (No. 139)
Unique sites:
Ge (0.0000, 0.0000, 0.0887) (multiplicity 4)
Se (0.0000, 0.0000, 0.5000) (multiplicity 2)
Br (0.0000, 0.0000, 0.2357) (multiplicity 4)
Br (0.0000, 0.5000, 0.0000) (multiplicity 4)

Top 10 peaks for 2θ from 5° to 70°, most intense first:
31.3°, I = 100, hkl 2 0 0
40.7°, I = 43, hkl 1 1 6
22.0°, I = 42, hkl 1 1 0
11.1°, I = 41, hkl 0 0 2
24.7°, I = 39, hkl 1 1 2
44.9°, I = 36, hkl 2 2 0
22.3°, I = 36, hkl 0 0 4
38.8°, I = 33, hkl 2 0 4
22.9°, I = 28, hkl 1 0 3
62.2°, I = 24, hkl 3 1 6



[2]
This entry pairs a crystal structure of GeSe2Br with its computed powder X-ray diffraction pattern. Radiation: Cu Ka. Structure: a DFT-relaxed cell (PBE, Alexandria).

Atomic structure:
Lattice parameters (Å, degrees): 4.8353 5.2377 11.1620 90.02 90.05 90.08
Space group P1 (No. 1)
Unique sites:
Ge (0.0000, 0.0000, 0.0000) (multiplicity 1)
Ge (0.4994, 0.5001, 0.1498) (multiplicity 1)
Se (0.0001, 0.3148, 0.8423) (multiplicity 1)
Se (0.5002, 0.8176, 0.9846) (multiplicity 1)
Se (0.5016, 0.8150, 0.3075) (multiplicity 1)
Se (0.9991, 0.3175, 0.1652) (multiplicity 1)
Br (0.0058, 0.0364, 0.6764) (multiplicity 1)
Br (0.4956, 0.5369, 0.4734) (multiplicity 1)

Top 10 peaks for 2θ from 5° to 70°, most intense first:
29.4°, I = 100, hkl 0 1 3
7.9°, I = 99, hkl 0 0 1
25.1°, I = 89, hkl 1 1 0
46.4°, I = 77, hkl -1 2 3
20.0°, I = 62, hkl 1 0 1
48.1°, I = 51, hkl 2 1 -3
37.2°, I = 48, hkl 2 0 0
18.7°, I = 34, hkl 0 1 -1
29.8°, I = 27, hkl 1 1 -2
56.0°, I = 22, hkl 1 3 0



[3]
This entry pairs a crystal structure of Sm4GeSe2Br with its computed powder X-ray diffraction pattern. Radiation: Cu Ka. Structure: a DFT-relaxed cell (PBE, Alexandria).

Atomic structure:
Lattice parameters (Å, degrees): 7.2397 4.2050 7.4114 90.00 109.08 90.00
Space group P2/m (No. 10)
Unique sites:
Sm (0.2355, 0.0000, 0.2217) (multiplicity 2)
Sm (0.2527, 0.5000, 0.7696) (multiplicity 2)
Ge (0.5000, 0.0000, 0.0000) (multiplicity 1)
Se (0.0000, 0.0000, 0.5000) (multiplicity 1)
Se (0.0000, 0.5000, 0.0000) (multiplicity 1)
Br (0.5000, 0.5000, 0.5000) (multiplicity 1)

Top 10 peaks for 2θ from 5° to 70°, most intense first:
29.9°, I = 100, hkl 2 0 -2
43.2°, I = 25, hkl 3 1 -1
42.4°, I = 24, hkl 1 1 -3
53.3°, I = 13, hkl 2 2 -2
43.0°, I = 13, hkl 0 2 0
42.6°, I = 12, hkl 2 0 2
25.9°, I = 9, hkl 1 1 -1
62.1°, I = 7, hkl 2 2 2
53.6°, I = 6, hkl 4 0 0
52.2°, I = 6, hkl 0 0 4



[4]
This entry pairs a crystal structure of YGeSe2Br with its computed powder X-ray diffraction pattern. Radiation: Cu Ka. Structure: a DFT-relaxed cell (PBE, Alexandria).

Atomic structure:
Lattice parameters (Å, degrees): 5.5195 5.5195 5.3481 90.00 90.00 90.00
Space group P4/mmm (No. 123)
Unique sites:
Y (0.0000, 0.0000, 0.0000) (multiplicity 1)
Ge (0.5000, 0.5000, 0.5000) (multiplicity 1)
Se (0.0000, 0.5000, 0.0000) (multiplicity 2)
Br (0.0000, 0.0000, 0.5000) (multiplicity 1)

Top 10 peaks for 2θ from 5° to 70°, most intense first:
32.4°, I = 100, hkl 2 0 0
28.3°, I = 88, hkl 1 1 1
47.3°, I = 68, hkl 2 0 2
33.5°, I = 46, hkl 0 0 2
46.5°, I = 36, hkl 2 2 0
58.6°, I = 36, hkl 2 2 2
16.1°, I = 34, hkl 1 0 0
55.4°, I = 26, hkl 3 1 1
23.2°, I = 20, hkl 1 0 1
16.6°, I = 14, hkl 0 0 1